This entry pairs a crystal structure of CaY2Ge4O12 with its theoretical PXRD pattern. Radiation: Cu Kα, 1.54184 Å. Structure: DFT lattice parameters and positions (PBE).

```
data_CaY2Ge4O12
_space_group_name_H-M_alt 'C m m e'
_space_group_IT_number 67
_space_group_name_Hall '-C 2a 2'
_cell_length_a 14.317
_cell_length_b 14.358
_cell_length_c 5.117
_cell_angle_alpha 90.00
_cell_angle_beta 90.00
_cell_angle_gamma 90.00
loop_
_atom_site_label
_atom_site_type_symbol
_atom_site_fract_x
_atom_site_fract_y
_atom_site_fract_z
Ca1 Ca 0.000 0.000 0.000
Y1 Y 0.250 0.000 0.000
Y2 Y 0.250 0.250 0.000
Ge1 Ge 0.114 0.136 0.495
O1 O 0.000 0.130 0.649
O2 O 0.122 0.055 0.245
O3 O 0.126 0.250 0.334
O4 O 0.192 0.135 0.758
```

Peak list (6 most intense, 15 to 90 degrees two-theta, sorted by position)
21.3 deg, d = 4.163 Å, I = 25
30.4 deg, d = 2.936 Å, I = 100
35.4 deg, d = 2.534 Å, I = 22
50.7 deg, d = 1.801 Å, I = 26
60.1 deg, d = 1.540 Å, I = 14
60.6 deg, d = 1.528 Å, I = 12

This entry pairs a crystal structure of Dy2Y5Er12 with its theoretical PXRD pattern. Radiation: Cu Kα, 1.54184 Å. Structure: DFT lattice parameters and positions (PBE).

```
data_Dy2Y5Er12
_space_group_name_H-M_alt 'P -1'
_space_group_IT_number 2
_cell_length_a 5.979
_cell_length_b 9.647
_cell_length_c 11.164
_cell_angle_alpha 70.05
_cell_angle_beta 82.72
_cell_angle_gamma 88.88
loop_
_space_group_symop_operation_xyz
'x,y,z'
'-x,-y,-z'
loop_
_atom_site_label
_atom_site_type_symbol
_atom_site_fract_x
_atom_site_fract_y
_atom_site_fract_z
Dy1 Dy 0.217 0.432 0.080
Y1 Y 0.000 0.453 0.668
Y2 Y 0.397 0.038 0.156
Y3 Y 0.500 0.000 0.500
Er1 Er 0.072 0.819 0.013
Er2 Er 0.074 0.181 0.396
Er3 Er 0.116 0.094 0.713
Er4 Er 0.336 0.683 0.772
Er5 Er 0.428 0.685 0.457
Er6 Er 0.459 0.314 0.844
```

Peak list (6 most intense, 15 to 90 degrees two-theta, sorted by position)
31.2 deg, d = 2.868 Å, I = 51
31.5 deg, d = 2.840 Å, I = 100
32.0 deg, d = 2.801 Å, I = 60
32.6 deg, d = 2.746 Å, I = 57
33.6 deg, d = 2.665 Å, I = 62
34.0 deg, d = 2.638 Å, I = 45